(1)
Structure and computed X-ray powder pattern of Sr4CaTb2Ru2O12 (DFT lattice parameters and positions (PBE); a wavelength of 1.5418 Å).
Peak positions follow from Bragg's law for the DFT cell and can differ from measured ones.

The 6 most intense peaks (5° ≤ 2θ ≤ 70°), in order of rising 2θ:
(1 1 2), 28.9°, I 49; (-1 1 2), 29.1°, I 100; (1 -1 2), 30.5°, I 92; (1 1 -2), 30.6°, I 92; (2 0 0), 30.7°, I 88; (2 -2 0), 42.8°, I 55

Structural model:
Cell: 5.8177 6.1576 8.5510 Å, 85.76 89.63 89.86°
Element x y z (fractional)
Sr 0.0000 0.0000 0.0000
Sr 0.0178 0.2124 0.6003
Sr 0.5087 0.6329 0.5418
Sr 0.5339 0.5238 0.0041
Ca 0.9747 0.9182 0.3844
Tb 0.0206 0.4924 0.2426
Tb 0.5132 0.0738 0.7712
Ru 0.0171 0.5933 0.7696
Ru 0.5088 0.0186 0.2552
O 0.0971 0.5809 0.9959
O 0.2083 0.8681 0.7177
O 0.2401 0.2094 0.3173
O 0.2963 0.7590 0.2889
O 0.3015 0.3907 0.7420
O 0.4298 0.0550 0.0263
O 0.6238 0.0228 0.4951
O 0.7447 0.7855 0.8044
O 0.7498 0.2486 0.2110
O 0.7588 0.7847 0.2045
O 0.8035 0.3177 0.8164
O 0.9433 0.5814 0.5182

(2)
Structure and computed X-ray powder pattern of Sr4CaY2Ru2O12 (DFT lattice parameters and positions (PBE); a wavelength of 1.5418 Å).
Peak positions follow from Bragg's law for the DFT cell and can differ from measured ones.

The 6 most intense peaks (5° ≤ 2θ ≤ 70°), in order of rising 2θ:
(-1 1 2), 29.3°, I 52; (0 2 0), 29.4°, I 50; (0 2 1), 30.2°, I 39; (1 -1 2), 30.4°, I 100; (2 0 0), 30.8°, I 85; (1 1 -2), 30.9°, I 93

Structural model:
Cell: 5.8187 6.1019 8.7138 Å, 84.40 87.49 88.34°
Element x y z (fractional)
Sr 0.0000 0.0000 0.0000
Sr 0.0071 0.0676 0.5507
Sr 0.4385 0.4431 0.9406
Sr 0.4741 0.6032 0.5436
Ca 0.5069 0.7355 0.1575
Y 0.5044 0.1456 0.3210
Y 0.9669 0.5497 0.7734
Ru 0.0034 0.6266 0.3124
Ru 0.4896 0.0317 0.7948
O 0.1239 0.6142 0.0943
O 0.2134 0.3708 0.3736
O 0.2329 0.8084 0.7698
O 0.2491 0.2879 0.7475
O 0.2648 0.8390 0.3513
O 0.4182 0.0719 0.0435
O 0.5629 0.0402 0.5672
O 0.6947 0.7661 0.8746
O 0.7195 0.4433 0.2837
O 0.7499 0.2521 0.8058
O 0.7995 0.9018 0.2624
O 0.9052 0.6355 0.5384

(3)
Structure and computed X-ray powder pattern of CaTi2RuO8 (DFT lattice parameters and positions (PBE); a wavelength of 1.5418 Å).
Peak positions follow from Bragg's law for the DFT cell and can differ from measured ones.

The 6 most intense peaks (5° ≤ 2θ ≤ 70°), in order of rising 2θ:
(0 1 1), 23.5°, I 41; (1 1 0), 26.2°, I 85; (1 -1 0), 27.1°, I 71; (1 0 2), 34.2°, I 100; (2 1 2), 51.5°, I 40; (2 -1 2), 52.6°, I 43

Structural model:
Cell: 4.7280 4.7415 6.2976 Å, 89.95 89.95 87.98°
Element x y z (fractional)
Ca 0.0000 0.0000 0.0000
Ti 0.4992 0.4992 0.2376
Ti 0.5008 0.5008 0.7624
Ru 0.0000 0.0000 0.5000
O 0.2139 0.7895 0.2880
O 0.2140 0.7896 0.7120
O 0.2864 0.2896 0.4996
O 0.3230 0.3276 0.0002
O 0.6770 0.6724 0.9998
O 0.7136 0.7104 0.5004
O 0.7860 0.2104 0.2880
O 0.7861 0.2105 0.7120

(4)
Structure and computed X-ray powder pattern of CaTl2RuO6 (DFT lattice parameters and positions (PBE); a wavelength of 1.5418 Å).
Peak positions follow from Bragg's law for the DFT cell and can differ from measured ones.

The 6 most intense peaks (5° ≤ 2θ ≤ 70°), in order of rising 2θ:
(0 0 1), 15.0°, I 100; (1 1 0), 28.7°, I 70; (1 1 1), 32.6°, I 77; (1 1 2), 42.3°, I 59; (1 1 3), 55.3°, I 20; (0 3 2), 60.4°, I 21

Structural model:
Cell: 6.2153 6.2153 5.8939 Å, 90.00 90.00 120.00°
Element x y z (fractional)
Ca 0.0000 0.0000 0.0000
Tl 0.3333 0.6667 0.5010
Tl 0.6667 0.3333 0.4990
Ru 0.0000 0.0000 0.5000
O 0.1435 0.2869 0.6928
O 0.1435 0.8565 0.6928
O 0.2869 0.1435 0.3072
O 0.7131 0.8565 0.6928
O 0.8565 0.1435 0.3072
O 0.8565 0.7131 0.3072

(5)
Structure and computed X-ray powder pattern of CaTmRu2O8 (DFT lattice parameters and positions (PBE); a wavelength of 1.5418 Å).
Peak positions follow from Bragg's law for the DFT cell and can differ from measured ones.

The 6 most intense peaks (5° ≤ 2θ ≤ 70°), in order of rising 2θ:
(0 1 1), 21.9°, I 100; (1 1 0), 30.5°, I 57; (1 0 2), 31.8°, I 43; (0 2 2), 44.7°, I 27; (1 2 1), 49.4°, I 23; (2 1 2), 55.1°, I 20

Structural model:
Cell: 5.8560 5.8560 6.7507 Å, 90.00 90.00 120.00°
Element x y z (fractional)
Ca 0.0000 0.0000 0.0000
Tm 0.0000 0.0000 0.5000
Ru 0.3333 0.6667 0.8004
Ru 0.6667 0.3333 0.1996
O 0.1598 0.3196 0.7226
O 0.1598 0.8402 0.7226
O 0.3196 0.1598 0.2774
O 0.3333 0.6667 0.0615
O 0.6667 0.3333 0.9385
O 0.6804 0.8402 0.7226
O 0.8402 0.1598 0.2774
O 0.8402 0.6804 0.2774